ThGa4Co: theoretical powder XRD pattern (CuKα), based on a DFT-relaxed cell (PBE, the Materials Project).

Largest 10 diffraction maxima, sorted by position, 2θ from 5° to 70°:
- 17.6 deg, d 5.050, I 23
- 30.5 deg, d 2.932, I 23
- 35.1 deg, d 2.559, I 100
- 35.6 deg, d 2.525, I 28
- 35.7 deg, d 2.513, I 67
- 37.0 deg, d 2.432, I 34
- 38.3 deg, d 2.349, I 29
- 38.8 deg, d 2.323, I 19
- 43.1 deg, d 2.097, I 37
- 44.2 deg, d 2.050, I 22

Atomic structure:
```
ThGa4Co
1.0
2.097 -7.847 0.000
2.097 7.847 0.000
0.000 0.000 6.599
Th Ga Co
2 8 2
Direct
0.116 0.884 0.750
0.884 0.116 0.250
0.077 0.923 0.250
0.310 0.690 0.555
0.310 0.690 0.945
0.500 0.500 0.000
0.500 0.500 0.500
0.690 0.310 0.055
0.690 0.310 0.445
0.923 0.077 0.750
0.226 0.774 0.250
0.774 0.226 0.750
```

***

NdZn3: theoretical powder XRD pattern (CuKα), based on a DFT-relaxed cell (PBE, the Materials Project).

Largest 10 diffraction maxima, sorted by position, 2θ from 5° to 70°:
- 34.3 deg, d 2.612, I 82
- 34.7 deg, d 2.587, I 16
- 35.3 deg, d 2.541, I 100
- 37.2 deg, d 2.414, I 21
- 39.8 deg, d 2.266, I 44
- 42.5 deg, d 2.126, I 21
- 44.1 deg, d 2.056, I 19
- 60.8 deg, d 1.522, I 14
- 68.7 deg, d 1.366, I 14
- 69.3 deg, d 1.356, I 20

Atomic structure:
```
NdZn3
1.0
6.720 0.000 0.000
0.000 4.532 0.000
0.000 0.000 10.348
Nd Zn
4 12
Direct
0.222 0.250 0.160
0.278 0.750 0.660
0.722 0.250 0.340
0.778 0.750 0.840
0.036 0.750 0.396
0.084 0.250 0.853
0.216 0.750 0.957
0.284 0.250 0.457
0.416 0.750 0.353
0.464 0.250 0.896
0.536 0.750 0.104
0.584 0.250 0.647
0.716 0.750 0.543
0.784 0.250 0.043
0.916 0.750 0.147
0.964 0.250 0.604
```

***

NaMg14Al: theoretical powder XRD pattern (CuKα), based on a DFT-relaxed cell (PBE, the Materials Project).

Largest 8 diffraction maxima, sorted by position, 2θ from 5° to 70°:
- 32.6 deg, d 2.747, I 24
- 34.3 deg, d 2.615, I 27
- 37.0 deg, d 2.432, I 100
- 48.0 deg, d 1.894, I 15
- 58.2 deg, d 1.586, I 17
- 63.2 deg, d 1.472, I 19
- 68.3 deg, d 1.374, I 3
- 69.3 deg, d 1.356, I 19

Atomic structure:
```
NaMg14Al
1.0
6.344 0.000 0.000
-3.172 5.494 0.000
0.000 0.000 10.461
Na Mg Al
1 14 1
Direct
0.000 0.000 0.000
0.004 0.502 0.000
0.167 0.333 0.256
0.167 0.333 0.744
0.167 0.833 0.256
0.167 0.833 0.744
0.498 0.502 0.000
0.498 0.996 0.000
0.501 0.002 0.500
0.501 0.499 0.500
0.667 0.333 0.247
0.667 0.333 0.753
0.667 0.833 0.256
0.667 0.833 0.744
0.998 0.499 0.500
0.000 0.000 0.500
```

***

Repeat the first record exactly.
ThGa4Co: theoretical powder XRD pattern (CuKα), based on a DFT-relaxed cell (PBE, the Materials Project).

Largest 10 diffraction maxima, sorted by position, 2θ from 5° to 70°:
- 17.6 deg, d 5.050, I 23
- 30.5 deg, d 2.932, I 23
- 35.1 deg, d 2.559, I 100
- 35.6 deg, d 2.525, I 28
- 35.7 deg, d 2.513, I 67
- 37.0 deg, d 2.432, I 34
- 38.3 deg, d 2.349, I 29
- 38.8 deg, d 2.323, I 19
- 43.1 deg, d 2.097, I 37
- 44.2 deg, d 2.050, I 22

Atomic structure:
```
ThGa4Co
1.0
2.097 -7.847 0.000
2.097 7.847 0.000
0.000 0.000 6.599
Th Ga Co
2 8 2
Direct
0.116 0.884 0.750
0.884 0.116 0.250
0.077 0.923 0.250
0.310 0.690 0.555
0.310 0.690 0.945
0.500 0.500 0.000
0.500 0.500 0.500
0.690 0.310 0.055
0.690 0.310 0.445
0.923 0.077 0.750
0.226 0.774 0.250
0.774 0.226 0.750
```

***

Question: What is the formula in the first record?
Answer: ThGa4Co